This entry pairs a crystal structure of Ce5CuSe8 with its calculated X-ray powder pattern. Radiation: Cu Kα (λ = 1.5418 Å). Structure: the PBE geometry in the Materials Project.
Lines closer than 0.1° are merged.

```
Ce5CuSe8
1.0
-4.380 4.380 4.539
4.380 -4.380 4.539
4.380 4.380 -4.539
Ce Cu Se
5 1 8
direct
0.000 0.000 0.000 Ce
0.256 0.134 0.623 Ce
0.367 0.744 0.878 Ce
0.511 0.633 0.377 Ce
0.866 0.489 0.122 Ce
0.750 0.250 0.500 Cu
0.098 0.356 0.871 Se
0.146 0.386 0.399 Se
0.253 0.854 0.239 Se
0.485 0.227 0.129 Se
0.614 0.014 0.761 Se
0.644 0.515 0.742 Se
0.773 0.902 0.258 Se
0.986 0.747 0.601 Se
```

Top 12 peaks for 2θ = 10–90°, sorted by position:
2θ (°)	d/Å	I (rel.)
24.31	3.661	22
24.75	3.597	36
31.28	2.860	85
32.20	2.780	80
32.32	2.770	100
37.56	2.395	72
38.06	2.364	43
38.35	2.347	47
48.03	1.894	31
50.77	1.798	20
53.26	1.720	20
65.64	1.422	22

***

This entry pairs a crystal structure of Ce3CuSiSe7 with its calculated X-ray powder pattern. Radiation: Cu Kα (λ = 1.5418 Å). Structure: the PBE geometry in the Materials Project.
Lines closer than 0.1° are merged.

```
Ce3CuSiSe7
1.0
10.662 0.000 0.000
-5.331 9.234 0.000
0.000 0.000 6.110
Ce Cu Si Se
6 2 2 14
direct
0.126 0.355 0.000 Ce
0.229 0.874 0.000 Ce
0.355 0.229 0.500 Ce
0.645 0.771 0.000 Ce
0.771 0.126 0.500 Ce
0.874 0.645 0.500 Ce
0.000 0.000 0.462 Cu
0.000 0.000 0.962 Cu
0.333 0.667 0.590 Si
0.667 0.333 0.090 Si
0.090 0.254 0.486 Se
0.105 0.584 0.737 Se
0.164 0.910 0.486 Se
0.254 0.164 0.986 Se
0.333 0.667 0.218 Se
0.416 0.522 0.737 Se
0.478 0.895 0.737 Se
0.522 0.105 0.237 Se
0.584 0.478 0.237 Se
0.667 0.333 0.718 Se
0.746 0.836 0.486 Se
0.836 0.090 0.986 Se
0.895 0.416 0.237 Se
0.910 0.746 0.986 Se
```

Top 12 peaks for 2θ = 10–90°, sorted by position:
2θ (°)	d/Å	I (rel.)
22.13	4.017	28
24.16	3.684	45
29.47	3.030	77
30.83	2.900	85
32.57	2.749	68
33.62	2.666	72
35.04	2.561	100
35.23	2.548	49
38.10	2.362	67
39.19	2.299	70
46.26	1.963	34
47.52	1.914	28

***

This entry pairs a crystal structure of CeCuSi with its calculated X-ray powder pattern. Radiation: Cu Kα (λ = 1.5418 Å). Structure: the PBE geometry in the Materials Project.
Lines closer than 0.1° are merged.

```
CeCuSi
1.0
4.113 0.000 0.000
-2.056 3.562 0.000
0.000 0.000 4.047
Ce Cu Si
1 1 1
direct
0.000 0.000 0.000 Ce
0.333 0.667 0.500 Cu
0.667 0.333 0.500 Si
```

Top 12 peaks for 2θ = 10–90°, sorted by position:
2θ (°)	d/Å	I (rel.)
25.00	3.562	27
33.52	2.674	100
44.03	2.056	35
44.79	2.023	11
51.30	1.781	4
51.98	1.759	7
56.45	1.630	22
64.62	1.442	22
74.24	1.277	19
75.34	1.262	9
80.98	1.187	6
86.91	1.121	4

***

This entry pairs a crystal structure of CeCu2Si2 with its calculated X-ray powder pattern. Radiation: Cu Kα (λ = 1.5418 Å). Structure: the PBE geometry in the Materials Project.
Lines closer than 0.1° are merged.

```
CeCu2Si2
1.0
-2.038 2.038 4.919
2.038 -2.038 4.919
2.038 2.038 -4.919
Ce Cu Si
1 2 2
direct
0.000 0.000 0.000 Ce
0.250 0.750 0.500 Cu
0.750 0.250 0.500 Cu
0.380 0.380 0.000 Si
0.620 0.620 0.000 Si
```

Top 12 peaks for 2θ = 10–90°, sorted by position:
2θ (°)	d/Å	I (rel.)
23.63	3.765	34
35.12	2.555	42
36.12	2.487	100
36.53	2.460	15
44.46	2.038	39
51.58	1.772	15
57.88	1.593	20
58.85	1.569	14
64.69	1.441	12
65.49	1.425	15
70.41	1.337	12
76.39	1.247	21

***

This entry pairs a crystal structure of CeCuSi with its calculated X-ray powder pattern. Radiation: Cu Kα (λ = 1.5418 Å). Structure: the PBE geometry in the Materials Project.
Lines closer than 0.1° are merged.

```
CeCuSi
1.0
4.143 0.000 0.000
-2.071 3.588 0.000
0.000 0.000 7.983
Ce Cu Si
2 2 2
direct
0.000 0.000 0.000 Ce
0.000 0.000 0.500 Ce
0.333 0.667 0.250 Cu
0.667 0.333 0.750 Cu
0.333 0.667 0.750 Si
0.667 0.333 0.250 Si
```

Top 12 peaks for 2θ = 10–90°, sorted by position:
2θ (°)	d/Å	I (rel.)
24.82	3.588	25
27.25	3.272	6
33.59	2.668	100
43.70	2.071	38
45.45	1.996	11
50.91	1.794	4
52.47	1.744	7
56.22	1.636	22
64.88	1.437	23
73.80	1.284	20
76.34	1.248	9
80.28	1.196	6

***

This entry pairs a crystal structure of Ce2Cu3Sn3 with its calculated X-ray powder pattern. Radiation: Cu Kα (λ = 1.5418 Å). Structure: the PBE geometry in the Materials Project.
Lines closer than 0.1° are merged.

```
Ce2Cu3Sn3
1.0
6.324 0.000 0.000
0.000 6.324 0.000
0.000 0.000 20.957
Ce Cu Sn
2 3 3
direct
0.000 0.000 0.243 Ce
0.000 0.000 0.757 Ce
0.000 0.000 0.118 Cu
0.000 0.000 0.500 Cu
0.000 0.000 0.882 Cu
0.000 0.000 0.000 Sn
0.000 0.000 0.382 Sn
0.000 0.000 0.618 Sn
```

Top 12 peaks for 2θ = 10–90°, sorted by position:
2θ (°)	d/Å	I (rel.)
14.00	6.324	100
19.85	4.472	45
28.22	3.162	19
31.64	2.828	29
37.15	2.420	17
39.88	2.260	14
40.34	2.236	7
44.94	2.017	10
45.35	2.000	11
47.30	1.922	17
58.02	1.590	9
63.87	1.457	7

***

Question: Which formula does entry 4 have?
Answer: CeCu2Si2